For Ca5Si, a cell relaxed with PBE gives the theoretical PXRD pattern in this record (CuKα).
Lines closer than 0.1° are merged.

Top 6 peaks for 2θ from 15° to 90°, by intensity:
2θ 29.81, rel. 100, hkl 1 0 3; 2θ 34.32, rel. 53, hkl 1 1 0; 2θ 26.77, rel. 29, hkl 1 0 2; 2θ 58.70, rel. 25, hkl 2 1 3; 2θ 45.57, rel. 23, hkl 1 1 5; 2θ 29.06, rel. 22, hkl 0 0 5

Structural model:
Lattice parameters (Å, degrees): 3.696 3.696 15.362 90.00 90.00 90.00
Element x y z (fractional)
1 Ca 0.000 0.000 0.000
2 Ca 0.000 0.000 0.388
3 Ca 0.000 0.000 0.612
4 Ca 0.500 0.500 0.190
5 Ca 0.500 0.500 0.810
6 Si 0.500 0.500 0.500